Diffraction record for Na2CoH8S2O12. The powder X-ray diffraction pattern is computed, not measured: it uses a cell relaxed with GGA+U and Cu Kα (weighted mean of Kα1 and Kα2).
Lines closer than 0.1° are merged.

Cell and atoms:
Cell: 5.5641 8.3711 11.1840 Å, 90.00 99.84 90.00°
Sites, in units of the cell vectors:
Na1 0.1184 0.0713 0.3633
Na2 0.1184 0.4287 0.8633
Na3 0.8816 0.5713 0.1367
Na4 0.8816 0.9287 0.6367
Co1 0.0000 0.0000 0.0000
Co2 0.0000 0.5000 0.5000
H1 0.2277 0.6334 0.3435
H2 0.2277 0.8666 0.8435
H3 0.2338 0.0566 0.8179
H4 0.2338 0.4434 0.3179
H5 0.2463 0.7289 0.0090
H6 0.2463 0.7711 0.5090
H7 0.3296 0.6980 0.6369
H8 0.3296 0.8020 0.1369
H9 0.6704 0.1980 0.8631
H10 0.6704 0.3020 0.3631
H11 0.7537 0.2289 0.4910
H12 0.7537 0.2711 0.9910
H13 0.7662 0.5566 0.6821
H14 0.7662 0.9434 0.1821
H15 0.7723 0.1334 0.1565
H16 0.7723 0.3666 0.6565
S1 0.3773 0.2138 0.6368
S2 0.3773 0.2862 0.1368
S3 0.6227 0.7138 0.8632
S4 0.6227 0.7862 0.3632
O1 0.1281 0.5336 0.3365
O2 0.1281 0.9664 0.8365
O3 0.1816 0.7152 0.5751
O4 0.1816 0.7848 0.0751
O5 0.2195 0.0844 0.5786
O6 0.2195 0.4156 0.0786
O7 0.3138 0.1296 0.0760
O8 0.3138 0.3704 0.5760
O9 0.3580 0.2254 0.7694
O10 0.3580 0.2746 0.2694
O11 0.3592 0.6801 0.8704
O12 0.3592 0.8199 0.3704
O13 0.6408 0.1801 0.6296
O14 0.6408 0.3199 0.1296
O15 0.6420 0.7254 0.7306
O16 0.6420 0.7746 0.2306
O17 0.6862 0.6296 0.4240
O18 0.6862 0.8704 0.9240
O19 0.7805 0.5844 0.9214
O20 0.7805 0.9156 0.4214
O21 0.8184 0.2152 0.9249
O22 0.8184 0.2848 0.4249
O23 0.8719 0.0336 0.1635
O24 0.8719 0.4664 0.6635

Top 12 peaks for 10° ≤ 2θ ≤ 90°, most intense first:
(hkl), Position (°2θ), Rel. int.
1 2 0, 26.79, 100
0 1 2, 19.31, 66
1 1 2, 27.01, 36
1 0 -2, 20.81, 36
1 0 -4, 33.83, 25
1 2 -1, 27.18, 19
0 1 3, 26.50, 19
0 1 1, 13.28, 19
1 1 1, 22.03, 19
0 0 2, 16.11, 18
1 1 -2, 23.40, 14
1 1 -1, 19.88, 13